This entry pairs a crystal structure of V2SiPb5O12 with its calculated X-ray diffraction stick pattern. Radiation: copper Kα. Structure: DFT lattice parameters and positions (PBE+U).
Intensities are scaled so that the largest is 100.

Structure:
Cell lengths 10.256, 7.436, 10.276 Å; angles 90.00, 119.13, 90.00 degrees
Space group Pm (No. 6)
Symmetry-distinct sites (fractional):
V 0.000 0.000 0.000 x1
V 0.025 0.500 0.626 x1
V 0.382 0.500 0.390 x1
V 0.788 0.500 0.035 x1
Si 0.421 0.000 0.635 x1
Si 0.793 0.000 0.438 x1
Pb 0.071 0.232 0.368 x2
Pb 0.137 0.000 0.767 x1
Pb 0.147 0.500 0.025 x1
Pb 0.409 0.500 0.759 x1
Pb 0.446 0.000 0.292 x1
Pb 0.627 0.000 0.978 x1
Pb 0.664 0.500 0.282 x1
Pb 0.724 0.249 0.673 x2
O 0.061 0.184 0.940 x2
O 0.065 0.000 0.191 x1
O 0.141 0.313 0.673 x2
O 0.239 0.000 0.527 x1
O 0.299 0.500 0.505 x1
O 0.320 0.316 0.272 x2
O 0.483 0.176 0.747 x2
O 0.510 0.000 0.535 x1
O 0.578 0.500 0.497 x1
O 0.680 0.177 0.388 x2
O 0.693 0.500 0.839 x1
O 0.733 0.316 0.100 x2
O 0.801 0.000 0.900 x1
O 0.887 0.000 0.624 x1
O 0.912 0.000 0.375 x1
O 0.915 0.500 0.429 x1
O 0.918 0.500 0.714 x1
O 0.985 0.500 0.113 x1

Top 10 peaks for 2θ = 10–90°, by angle:
2θ/deg  d [Å]  I (rel.)
19.8  4.482  40
21.0  4.224  42
26.0  3.432  51
28.9  3.093  45
29.1  3.069  40
29.2  3.056  46
29.5  3.024  47
29.7  3.011  100
29.9  2.989  59
47.3  1.920  35